For NaPr2Ti2MnO9, a crystal structure in Alexandria, relaxed with PBE+U gives the computed PXRD pattern in this record (Cu Kα, 1.54184 Å).

Peak list (10 most intense, 2θ = 5–70°, low angle first)
2θ = 19.6°, d 4.519, intensity 30; 2θ = 31.8°, d 2.811, intensity 47; 2θ = 32.0°, d 2.801, intensity 55; 2θ = 32.2°, d 2.778, intensity 51; 2θ = 32.3°, d 2.767, intensity 51; 2θ = 32.8°, d 2.732, intensity 100; 2θ = 45.0°, d 2.015, intensity 34; 2θ = 47.0°, d 1.932, intensity 62; 2θ = 58.1°, d 1.587, intensity 21; 2θ = 58.4°, d 1.580, intensity 35

Cell and atoms:
abc: 5.540 5.627 23.188
angles: 89.56 89.75 87.57
Space group P1 (No. 1)
Symmetry-distinct sites (fractional):
Na1 0.000 0.000 0.000
Na2 0.002 0.001 0.665
Na3 0.503 0.448 0.499
Na4 0.998 0.998 0.334
Pr1 0.015 0.929 0.499
Pr2 0.022 0.928 0.833
Pr3 0.025 0.932 0.168
Pr4 0.502 0.430 0.833
Pr5 0.503 0.433 0.167
Pr6 0.511 0.524 0.334
Pr7 0.514 0.522 0.665
Pr8 0.515 0.521 0.000
Ti1 0.007 0.470 0.254
Ti2 0.008 0.467 0.920
Ti3 0.025 0.472 0.584
Ti4 0.491 0.970 0.417
Ti5 0.511 0.976 0.745
Ti6 0.512 0.978 0.079
Ti7 0.521 0.997 0.583
Ti8 0.985 0.459 0.418
Mn1 0.005 0.468 0.749
Mn2 0.007 0.470 0.083
Mn3 0.512 0.976 0.917
Mn4 0.515 0.979 0.252
O1 0.081 0.450 0.666
O2 0.087 0.451 0.000
O3 0.088 0.456 0.334
O4 0.211 0.177 0.569
O5 0.221 0.193 0.767
O6 0.224 0.196 0.101
O7 0.226 0.194 0.432
O8 0.227 0.190 0.900
O9 0.228 0.193 0.235
O10 0.273 0.679 0.572
O11 0.279 0.673 0.902
O12 0.282 0.676 0.237
O13 0.292 0.708 0.429
O14 0.306 0.705 0.765
O15 0.306 0.709 0.100
O16 0.431 0.956 0.666
O17 0.431 0.957 0.000
O18 0.440 0.964 0.335
O19 0.583 0.987 0.500
O20 0.592 0.992 0.834
O21 0.594 0.995 0.169
O22 0.686 0.261 0.738
O23 0.689 0.262 0.072
O24 0.710 0.253 0.595
O25 0.722 0.290 0.927
O26 0.723 0.293 0.262
O27 0.728 0.264 0.405
O28 0.775 0.747 0.595
O29 0.786 0.756 0.736
O30 0.787 0.756 0.070
O31 0.788 0.751 0.405
O32 0.791 0.760 0.930
O33 0.794 0.762 0.264
O34 0.931 0.494 0.831
O35 0.933 0.496 0.166
O36 0.940 0.492 0.500